Diffraction record for NbW4O12. The powder XRD pattern is simulated, not measured: it uses a crystal structure in Alexandria, relaxed with PBE+U and λ = 1.5418 Å (Cu Kα).
Kinematic intensities with the Lorentz-polarization factor, no thermal factor.

Top 10 peaks for 15° ≤ 2θ ≤ 90°, most intense first:
2θ = 22.7°, I = 100
2θ = 33.3°, I = 96
2θ = 32.3°, I = 48
2θ = 58.3°, I = 44
2θ = 24.1°, I = 39
2θ = 46.3°, I = 29
2θ = 40.7°, I = 25
2θ = 60.2°, I = 24
2θ = 52.9°, I = 21
2θ = 52.2°, I = 20

Atomic structure:
a b c (Å): 6.661 6.661 6.661
angles (deg): 107.92 107.92 112.61
Atoms (fractional coordinates):
Nb  0.000  0.000  0.000
W  0.000  0.000  0.500
W  0.000  0.500  0.000
W  0.500  0.000  0.000
W  0.500  0.500  0.500
O  0.049  0.822  0.227
O  0.178  0.405  0.227
O  0.178  0.951  0.773
O  0.303  0.303  0.605
O  0.303  0.697  0.000
O  0.405  0.178  0.227
O  0.595  0.822  0.773
O  0.697  0.303  0.000
O  0.697  0.697  0.395
O  0.822  0.049  0.227
O  0.822  0.595  0.773
O  0.951  0.178  0.773